No. 1
The following is a simulated X-ray powder pattern of FeHBr. It was derived from a DFT-relaxed cell (GGA-PBE, Alexandria), using Cu Kα (λ = 1.5418 Å).
Neutral-atom scattering factors, no anomalous dispersion.

Structural model:
Unit cell a=3.6094 b=5.1138 c=9.8025 alpha=90.00 beta=90.00 gamma=90.00
Fractional positions:
Fe: 0.0000 0.2500 0.1617
Fe: 0.0000 0.7500 0.8383
Fe: 0.5000 0.2500 0.3383
Fe: 0.5000 0.7500 0.6617
H: 0.0000 0.2500 0.3301
H: 0.0000 0.7500 0.6699
H: 0.5000 0.2500 0.1699
H: 0.5000 0.7500 0.8301
Br: 0.0000 0.2500 0.9023
Br: 0.0000 0.7500 0.0977
Br: 0.5000 0.2500 0.5977
Br: 0.5000 0.7500 0.4023

Peak list (10 most intense, 2θ = 15–90°, in order of rising 2θ)
- 2θ 26.31, rel. 100
- 2θ 32.52, rel. 32
- 2θ 35.10, rel. 49
- 2θ 36.67, rel. 21
- 2θ 37.11, rel. 26
- 2θ 44.39, rel. 47
- 2θ 48.29, rel. 36
- 2θ 50.58, rel. 17
- 2θ 52.00, rel. 19
- 2θ 85.91, rel. 17

No. 2
The following is a simulated X-ray powder pattern of FeHgBr3. It was derived from a DFT-relaxed cell (GGA-PBE, Alexandria), using Cu Kα (λ = 1.5418 Å).
Neutral-atom scattering factors, no anomalous dispersion.

Structural model:
Unit cell a=8.9185 b=8.9185 c=5.7576 alpha=90.00 beta=90.00 gamma=133.99
Fractional positions:
Fe: 0.2181 0.7819 0.5000
Fe: 0.7819 0.2181 0.0000
Hg: 0.4972 0.5028 0.2279
Hg: 0.5028 0.4972 0.7279
Br: 0.0657 0.4404 0.3172
Br: 0.0911 0.9089 0.3249
Br: 0.4404 0.0657 0.8172
Br: 0.5596 0.9343 0.3172
Br: 0.9089 0.0911 0.8249
Br: 0.9343 0.5596 0.8172

Peak list (10 most intense, 2θ = 15–90°, in order of rising 2θ)
- 2θ 20.66, rel. 100
- 2θ 26.67, rel. 29
- 2θ 27.81, rel. 56
- 2θ 30.08, rel. 28
- 2θ 31.07, rel. 25
- 2θ 31.93, rel. 35
- 2θ 34.14, rel. 29
- 2θ 40.59, rel. 27
- 2θ 42.19, rel. 64
- 2θ 43.79, rel. 32

No. 3
The following is a simulated X-ray powder pattern of FeHgBr2. It was derived from a DFT-relaxed cell (GGA-PBE, Alexandria), using Cu Kα (λ = 1.5418 Å).
Neutral-atom scattering factors, no anomalous dispersion.

Structural model:
Unit cell a=3.5293 b=7.0300 c=11.0013 alpha=90.00 beta=90.00 gamma=90.00
Fractional positions:
Fe: 0.0000 0.0000 0.0000
Fe: 0.5000 0.5000 0.5000
Hg: 0.0000 0.0000 0.5000
Hg: 0.5000 0.5000 0.0000
Br: 0.0000 0.5000 0.3390
Br: 0.0000 0.5000 0.6610
Br: 0.5000 0.0000 0.1610
Br: 0.5000 0.0000 0.8390

Peak list (10 most intense, 2θ = 15–90°, in order of rising 2θ)
- 2θ 16.11, rel. 43
- 2θ 25.34, rel. 79
- 2θ 26.52, rel. 40
- 2θ 27.43, rel. 66
- 2θ 30.17, rel. 20
- 2θ 32.73, rel. 100
- 2θ 37.01, rel. 34
- 2θ 43.67, rel. 53
- 2θ 49.55, rel. 31
- 2θ 57.93, rel. 23